Entry 1:
Structure and computed XRD peak list of K2TaCl6 (DFT lattice parameters and positions (GGA-PBE); Cu Kα).

Largest 10 diffraction maxima, most intense first, 2θ from 10° to 90°:
2θ 15.2, rel. 100
2θ 35.5, rel. 56
2θ 29.3, rel. 50
2θ 24.9, rel. 45
2θ 17.5, rel. 42
2θ 51.1, rel. 36
2θ 46.7, rel. 24
2θ 53.6, rel. 23
2θ 39.9, rel. 20
2θ 43.9, rel. 20

Structure:
```
K2TaCl6
1.0
0.000 5.056 5.056
5.056 0.000 5.056
5.056 5.056 0.000
K Ta Cl
2 1 6
Cartesian
2.528 2.528 2.528
7.585 7.585 7.585
0.000 0.000 0.000
5.056 5.056 2.419
5.056 2.419 5.056
7.694 5.056 5.056
2.419 5.056 5.056
5.056 7.694 5.056
5.056 5.056 7.694
```

---

Entry 2:
Structure and computed XRD peak list of NaSbS2 (DFT lattice parameters and positions (GGA-PBE); Cu Kα).

Largest 10 diffraction maxima, most intense first, 2θ from 10° to 90°:
2θ 30.4, rel. 100
2θ 16.7, rel. 92
2θ 31.2, rel. 53
2θ 43.3, rel. 35
2θ 44.9, rel. 33
2θ 17.2, rel. 24
2θ 34.9, rel. 24
2θ 26.3, rel. 21
2θ 28.3, rel. 20
2θ 44.0, rel. 18

Structure:
```
NaSbS2
1.0
4.121 -4.198 0.000
4.121 4.198 0.000
-3.847 0.000 5.738
Na Sb S
2 2 4
Cartesian
1.236 3.075 4.304
3.159 -3.075 1.435
3.159 0.836 1.435
1.236 -0.836 4.304
-0.651 0.773 4.383
1.272 -0.773 1.514
3.123 0.773 4.225
5.046 -0.773 1.355
```

---

Entry 3:
Structure and computed XRD peak list of Zn3Cu (DFT lattice parameters and positions (GGA-PBE); Cu Kα).

Largest 9 diffraction maxima, most intense first, 2θ from 10° to 90°:
2θ 43.9, rel. 100
2θ 41.8, rel. 26
2θ 38.3, rel. 25
2θ 84.4, rel. 18
2θ 77.8, rel. 16
2θ 69.3, rel. 16
2θ 58.0, rel. 14
2θ 85.8, rel. 13
2θ 82.1, rel. 2

Structure:
```
Zn3Cu
1.0
5.422 0.000 0.000
-2.711 4.696 0.000
0.000 0.000 4.319
Zn Cu
6 2
Cartesian
0.000 1.589 1.080
-1.335 3.901 1.080
1.376 0.795 3.239
1.335 3.901 1.080
4.046 0.795 3.239
2.711 3.107 3.239
0.000 3.131 3.239
2.711 1.565 1.080
```

---

Entry 4:
Structure and computed XRD peak list of EuAl (DFT lattice parameters and positions (GGA-PBE); Cu Kα).

Largest 10 diffraction maxima, most intense first, 2θ from 10° to 90°:
2θ 33.8, rel. 100
2θ 31.1, rel. 92
2θ 23.6, rel. 52
2θ 30.4, rel. 48
2θ 57.0, rel. 39
2θ 25.5, rel. 38
2θ 36.6, rel. 34
2θ 32.5, rel. 29
2θ 29.9, rel. 28
2θ 33.0, rel. 25

Structure:
```
EuAl
1.0
5.755 0.000 0.000
0.000 9.397 0.000
0.000 0.000 9.981
Eu Al
10 10
Cartesian
1.439 0.483 1.890
1.439 4.216 1.890
1.439 5.334 5.839
1.439 7.048 9.917
1.439 8.762 5.839
4.316 0.636 4.141
4.316 2.349 0.063
4.316 4.063 4.141
4.316 5.181 8.090
4.316 8.915 8.090
0.054 7.048 3.161
1.439 0.992 8.707
1.439 2.349 4.534
1.439 3.706 8.707
2.823 7.048 3.161
2.932 2.349 6.819
4.316 5.691 1.274
4.316 7.048 5.446
4.316 8.405 1.274
5.700 2.349 6.819
```

---

Entry 5:
Structure and computed XRD peak list of Sr2GaSbO6 (DFT lattice parameters and positions (GGA-PBE); Cu Kα).

Largest 10 diffraction maxima, most intense first, 2θ from 10° to 90°:
2θ 31.7, rel. 100
2θ 56.5, rel. 39
2θ 45.5, rel. 34
2θ 66.3, rel. 20
2θ 75.4, rel. 17
2θ 84.1, rel. 7
2θ 19.3, rel. 5
2θ 22.3, rel. 3
2θ 37.4, rel. 3
2θ 39.1, rel. 2

Structure:
```
Sr2GaSbO6
1.0
0.000 3.989 3.989
3.989 0.000 3.989
3.989 3.989 0.000
Sr Ga Sb O
2 1 1 6
Cartesian
1.994 1.994 1.994
5.983 5.983 5.983
0.000 0.000 0.000
3.989 3.989 3.989
3.989 3.989 1.995
3.989 1.995 3.989
5.982 3.989 3.989
1.995 3.989 3.989
3.989 5.982 3.989
3.989 3.989 5.982
```